# 1
Tm2S2O: theoretical powder diffractogram (Cu Kα (weighted mean of Kα1 and Kα2)), based on a cell relaxed with PBE.
Neutral-atom scattering factors, no anomalous dispersion.

Structural model:
```
data_Tm2S2O
_chemical_formula_sum 'Tm8 S8 O4'
_space_group_name_H-M_alt 'P 1'
_space_group_IT_number 1
_cell_length_a 8.150
_cell_length_b 6.788
_cell_length_c 6.762
_cell_angle_alpha 90.00
_cell_angle_beta 99.56
_cell_angle_gamma 90.00
loop_
_space_group_symop_operation_xyz
'x,y,z'
loop_
_atom_site_label
_atom_site_type_symbol
_atom_site_fract_x
_atom_site_fract_y
_atom_site_fract_z
Tm1 Tm 0.075 0.145 0.323
Tm2 Tm 0.075 0.355 0.823
Tm3 Tm 0.362 0.553 0.251
Tm4 Tm 0.362 0.947 0.751
Tm5 Tm 0.638 0.053 0.249
Tm6 Tm 0.638 0.447 0.749
Tm7 Tm 0.925 0.645 0.177
Tm8 Tm 0.925 0.855 0.677
S1 S 0.182 0.632 0.579
S2 S 0.182 0.868 0.079
S3 S 0.425 0.223 0.470
S4 S 0.425 0.277 0.970
S5 S 0.575 0.723 0.030
S6 S 0.575 0.777 0.530
S7 S 0.818 0.132 0.921
S8 S 0.818 0.368 0.421
O1 O 0.117 0.087 0.650
O2 O 0.117 0.413 0.150
O3 O 0.883 0.587 0.850
O4 O 0.883 0.913 0.350
```

Top 6 peaks for 15 to 90 degrees two-theta, most intense first:
30.8°, 2.905 Å, intensity 100
29.5°, 3.025 Å, intensity 64
27.3°, 3.267 Å, intensity 51
26.7°, 3.334 Å, intensity 42
20.5°, 4.324 Å, intensity 38
39.5°, 2.282 Å, intensity 30

***

# 2
Tm2SO5: theoretical powder diffractogram (Cu Kα (weighted mean of Kα1 and Kα2)), based on a cell relaxed with PBE.
Neutral-atom scattering factors, no anomalous dispersion.

Structural model:
```
data_Tm2SO5
_chemical_formula_sum 'Tm4 S2 O10'
_space_group_name_H-M_alt 'P 1'
_space_group_IT_number 1
_cell_length_a 6.403
_cell_length_b 6.403
_cell_length_c 6.749
_cell_angle_alpha 116.53
_cell_angle_beta 116.53
_cell_angle_gamma 62.79
loop_
_space_group_symop_operation_xyz
'x,y,z'
loop_
_atom_site_label
_atom_site_type_symbol
_atom_site_fract_x
_atom_site_fract_y
_atom_site_fract_z
Tm1 Tm 0.000 0.500 0.000
Tm2 Tm 0.062 0.062 0.314
Tm3 Tm 0.500 0.000 0.000
Tm4 Tm 0.938 0.938 0.686
S1 S 0.420 0.420 0.743
S2 S 0.580 0.580 0.257
O1 O 0.144 0.144 0.074
O2 O 0.155 0.155 0.706
O3 O 0.303 0.662 0.235
O4 O 0.307 0.307 0.491
O5 O 0.338 0.697 0.765
O6 O 0.662 0.303 0.235
O7 O 0.693 0.693 0.509
O8 O 0.697 0.338 0.765
O9 O 0.845 0.845 0.294
O10 O 0.856 0.856 0.926
```

Top 6 peaks for 15 to 90 degrees two-theta, most intense first:
26.6°, 3.354 Å, intensity 100
33.1°, 2.710 Å, intensity 99
16.3°, 5.424 Å, intensity 66
30.4°, 2.943 Å, intensity 61
31.9°, 2.805 Å, intensity 60
31.0°, 2.886 Å, intensity 56

***

# 3
YTmSO2: theoretical powder diffractogram (Cu Kα (weighted mean of Kα1 and Kα2)), based on a cell relaxed with PBE.
Neutral-atom scattering factors, no anomalous dispersion.

Structural model:
```
data_YTmSO2
_chemical_formula_sum 'Y1 Tm1 S1 O2'
_space_group_name_H-M_alt 'P 1'
_space_group_IT_number 1
_cell_length_a 3.760
_cell_length_b 3.760
_cell_length_c 6.544
_cell_angle_alpha 90.00
_cell_angle_beta 90.00
_cell_angle_gamma 120.00
loop_
_space_group_symop_operation_xyz
'x,y,z'
loop_
_atom_site_label
_atom_site_type_symbol
_atom_site_fract_x
_atom_site_fract_y
_atom_site_fract_z
Y1 Y 0.000 0.000 0.000
Tm1 Tm 0.333 0.667 0.565
S1 S 0.667 0.333 0.284
O1 O 0.000 0.000 0.647
O2 O 0.333 0.667 0.907
```

Top 6 peaks for 15 to 90 degrees two-theta, most intense first:
30.7°, 2.915 Å, intensity 100
39.0°, 2.308 Å, intensity 35
48.4°, 1.880 Å, intensity 31
27.4°, 3.256 Å, intensity 25
50.4°, 1.812 Å, intensity 25
27.3°, 3.272 Å, intensity 21

***

# 4
YZrS2O: theoretical powder diffractogram (Cu Kα (weighted mean of Kα1 and Kα2)), based on a cell relaxed with PBE.
Neutral-atom scattering factors, no anomalous dispersion.

Structural model:
```
data_YZrS2O
_chemical_formula_sum 'Y2 Zr2 S4 O2'
_space_group_name_H-M_alt 'P 1'
_space_group_IT_number 1
_cell_length_a 6.252
_cell_length_b 6.252
_cell_length_c 8.516
_cell_angle_alpha 94.03
_cell_angle_beta 94.03
_cell_angle_gamma 33.09
loop_
_space_group_symop_operation_xyz
'x,y,z'
loop_
_atom_site_label
_atom_site_type_symbol
_atom_site_fract_x
_atom_site_fract_y
_atom_site_fract_z
Y1 Y 0.238 0.238 0.303
Y2 Y 0.762 0.762 0.697
Zr1 Zr 0.000 0.000 0.000
Zr2 Zr 0.500 0.500 0.500
S1 S 0.074 0.074 0.714
S2 S 0.352 0.352 0.924
S3 S 0.648 0.648 0.076
S4 S 0.926 0.926 0.286
O1 O 0.334 0.334 0.562
O2 O 0.666 0.666 0.438
```

Top 6 peaks for 15 to 90 degrees two-theta, most intense first:
35.9°, 2.500 Å, intensity 100
28.0°, 3.190 Å, intensity 59
24.8°, 3.588 Å, intensity 59
41.9°, 2.157 Å, intensity 45
46.3°, 1.959 Å, intensity 30
33.3°, 2.688 Å, intensity 28

***

# 5
Zn2SO: theoretical powder diffractogram (Cu Kα (weighted mean of Kα1 and Kα2)), based on a cell relaxed with PBE.
Neutral-atom scattering factors, no anomalous dispersion.

Structural model:
```
data_Zn2SO
_chemical_formula_sum 'Zn8 S4 O4'
_space_group_name_H-M_alt 'P 1'
_space_group_IT_number 1
_cell_length_a 3.408
_cell_length_b 12.471
_cell_length_c 5.613
_cell_angle_alpha 90.00
_cell_angle_beta 90.00
_cell_angle_gamma 90.00
loop_
_space_group_symop_operation_xyz
'x,y,z'
loop_
_atom_site_label
_atom_site_type_symbol
_atom_site_fract_x
_atom_site_fract_y
_atom_site_fract_z
Zn1 Zn 0.000 0.067 0.000
Zn2 Zn 0.000 0.339 0.947
Zn3 Zn 0.000 0.661 0.447
Zn4 Zn 0.000 0.933 0.500
Zn5 Zn 0.500 0.161 0.447
Zn6 Zn 0.500 0.433 0.500
Zn7 Zn 0.500 0.567 0.000
Zn8 Zn 0.500 0.839 0.947
S1 S 0.000 0.321 0.361
S2 S 0.000 0.679 0.861
S3 S 0.500 0.179 0.861
S4 S 0.500 0.821 0.361
O1 O 0.000 0.076 0.355
O2 O 0.000 0.924 0.855
O3 O 0.500 0.424 0.855
O4 O 0.500 0.576 0.355
```

Top 6 peaks for 15 to 90 degrees two-theta, most intense first:
34.0°, 2.636 Å, intensity 100
31.9°, 2.806 Å, intensity 84
32.9°, 2.725 Å, intensity 62
31.5°, 2.837 Å, intensity 61
47.3°, 1.921 Å, intensity 52
37.7°, 2.386 Å, intensity 46

***

# 6
Zr3SO9: theoretical powder diffractogram (Cu Kα (weighted mean of Kα1 and Kα2)), based on a cell relaxed with PBE.
Neutral-atom scattering factors, no anomalous dispersion.

Structural model:
```
data_Zr3SO9
_chemical_formula_sum 'Zr6 S2 O18'
_space_group_name_H-M_alt 'P 1'
_space_group_IT_number 1
_cell_length_a 6.331
_cell_length_b 6.331
_cell_length_c 9.255
_cell_angle_alpha 90.00
_cell_angle_beta 90.00
_cell_angle_gamma 120.00
loop_
_space_group_symop_operation_xyz
'x,y,z'
loop_
_atom_site_label
_atom_site_type_symbol
_atom_site_fract_x
_atom_site_fract_y
_atom_site_fract_z
Zr1 Zr 0.031 0.333 0.343
Zr2 Zr 0.302 0.969 0.343
Zr3 Zr 0.333 0.302 0.657
Zr4 Zr 0.667 0.698 0.343
Zr5 Zr 0.698 0.031 0.657
Zr6 Zr 0.969 0.667 0.657
S1 S 0.333 0.667 0.870
S2 S 0.667 0.333 0.130
O1 O 0.000 0.000 0.270
O2 O 0.000 0.000 0.730
O3 O 0.001 0.335 0.575
O4 O 0.120 0.692 0.902
O5 O 0.308 0.428 0.902
O6 O 0.333 0.667 0.264
O7 O 0.333 0.667 0.701
O8 O 0.333 0.999 0.575
O9 O 0.335 0.333 0.425
O10 O 0.428 0.120 0.098
O11 O 0.572 0.880 0.902
O12 O 0.665 0.667 0.575
O13 O 0.667 0.001 0.425
O14 O 0.667 0.333 0.299
O15 O 0.667 0.333 0.736
O16 O 0.692 0.572 0.098
O17 O 0.880 0.308 0.098
O18 O 0.999 0.665 0.425
```

Top 6 peaks for 15 to 90 degrees two-theta, most intense first:
29.8°, 2.995 Å, intensity 100
34.3°, 2.613 Å, intensity 35
49.9°, 1.828 Å, intensity 34
48.7°, 1.868 Å, intensity 32
28.9°, 3.085 Å, intensity 24
57.7°, 1.598 Å, intensity 20

***

# 7
Sm9Sb5O5: theoretical powder diffractogram (Cu Kα (weighted mean of Kα1 and Kα2)), based on a cell relaxed with PBE.
Neutral-atom scattering factors, no anomalous dispersion.

Structural model:
```
data_Sm9Sb5O5
_chemical_formula_sum 'Sm18 Sb10 O10'
_space_group_name_H-M_alt 'P 1'
_space_group_IT_number 1
_cell_length_a 10.064
_cell_length_b 10.064
_cell_length_c 9.060
_cell_angle_alpha 90.00
_cell_angle_beta 90.00
_cell_angle_gamma 90.00
loop_
_space_group_symop_operation_xyz
'x,y,z'
loop_
_atom_site_label
_atom_site_type_symbol
_atom_site_fract_x
_atom_site_fract_y
_atom_site_fract_z
Sm1 Sm 0.024 0.168 0.001
Sm2 Sm 0.045 0.646 0.655
Sm3 Sm 0.146 0.955 0.345
Sm4 Sm 0.168 0.476 0.001
Sm5 Sm 0.250 0.250 0.669
Sm6 Sm 0.332 0.024 0.001
Sm7 Sm 0.354 0.545 0.345
Sm8 Sm 0.455 0.854 0.655
Sm9 Sm 0.476 0.332 0.001
Sm10 Sm 0.524 0.668 0.999
Sm11 Sm 0.545 0.146 0.345
Sm12 Sm 0.646 0.455 0.655
Sm13 Sm 0.668 0.976 0.999
Sm14 Sm 0.750 0.750 0.331
Sm15 Sm 0.832 0.524 0.999
Sm16 Sm 0.854 0.045 0.655
Sm17 Sm 0.955 0.354 0.345
Sm18 Sm 0.976 0.832 0.999
Sb1 Sb 0.054 0.654 0.301
Sb2 Sb 0.154 0.946 0.699
Sb3 Sb 0.250 0.250 0.315
Sb4 Sb 0.346 0.554 0.699
Sb5 Sb 0.446 0.846 0.301
Sb6 Sb 0.554 0.154 0.699
Sb7 Sb 0.654 0.446 0.301
Sb8 Sb 0.750 0.750 0.685
Sb9 Sb 0.846 0.054 0.301
Sb10 Sb 0.946 0.346 0.699
O1 O 0.026 0.630 0.911
O2 O 0.130 0.974 0.089
O3 O 0.250 0.250 0.934
O4 O 0.370 0.526 0.089
O5 O 0.474 0.870 0.911
O6 O 0.526 0.130 0.089
O7 O 0.630 0.474 0.911
O8 O 0.750 0.750 0.066
O9 O 0.870 0.026 0.911
O10 O 0.974 0.370 0.089
```

Top 6 peaks for 15 to 90 degrees two-theta, most intense first:
29.8°, 3.003 Å, intensity 100
34.4°, 2.604 Å, intensity 93
29.6°, 3.020 Å, intensity 68
40.1°, 2.250 Å, intensity 64
50.6°, 1.804 Å, intensity 54
28.0°, 3.184 Å, intensity 46

***

# 8
TaSbO4: theoretical powder diffractogram (Cu Kα (weighted mean of Kα1 and Kα2)), based on a cell relaxed with PBE.
Neutral-atom scattering factors, no anomalous dispersion.

Structural model:
```
data_TaSbO4
_chemical_formula_sum 'Ta2 Sb2 O8'
_space_group_name_H-M_alt 'P 1'
_space_group_IT_number 1
_cell_length_a 5.931
_cell_length_b 5.931
_cell_length_c 5.931
_cell_angle_alpha 109.06
_cell_angle_beta 109.06
_cell_angle_gamma 110.29
loop_
_space_group_symop_operation_xyz
'x,y,z'
loop_
_atom_site_label
_atom_site_type_symbol
_atom_site_fract_x
_atom_site_fract_y
_atom_site_fract_z
Ta1 Ta 0.000 0.000 0.000
Ta2 Ta 0.750 0.250 0.500
Sb1 Sb 0.274 0.774 0.500
Sb2 Sb 0.524 0.524 0.000
O1 O 0.404 0.198 0.206
O2 O 0.517 0.202 0.685
O3 O 0.517 0.832 0.315
O4 O 0.582 0.767 0.815
O5 O 0.948 0.242 0.294
O6 O 0.948 0.654 0.706
O7 O 0.952 0.767 0.185
O8 O 0.992 0.198 0.794
```

Top 6 peaks for 15 to 90 degrees two-theta, most intense first:
25.9°, 3.441 Å, intensity 100
32.2°, 2.781 Å, intensity 92
49.8°, 1.831 Å, intensity 68
36.9°, 2.433 Å, intensity 26
63.6°, 1.463 Å, intensity 19
60.9°, 1.520 Å, intensity 16

***

# 9
TaSbO4: theoretical powder diffractogram (Cu Kα (weighted mean of Kα1 and Kα2)), based on a cell relaxed with PBE.
Neutral-atom scattering factors, no anomalous dispersion.

Structural model:
```
data_TaSbO4
_chemical_formula_sum 'Ta4 Sb4 O16'
_space_group_name_H-M_alt 'P 1'
_space_group_IT_number 1
_cell_length_a 6.072
_cell_length_b 10.786
_cell_length_c 5.677
_cell_angle_alpha 90.00
_cell_angle_beta 90.00
_cell_angle_gamma 90.00
loop_
_space_group_symop_operation_xyz
'x,y,z'
loop_
_atom_site_label
_atom_site_type_symbol
_atom_site_fract_x
_atom_site_fract_y
_atom_site_fract_z
Ta1 Ta 0.250 0.000 0.021
Ta2 Ta 0.250 0.500 0.479
Ta3 Ta 0.750 0.000 0.979
Ta4 Ta 0.750 0.500 0.521
Sb1 Sb 0.003 0.250 0.250
Sb2 Sb 0.497 0.750 0.250
Sb3 Sb 0.503 0.250 0.750
Sb4 Sb 0.997 0.750 0.750
O1 O 0.018 0.523 0.728
O2 O 0.018 0.977 0.772
O3 O 0.239 0.683 0.454
O4 O 0.239 0.817 0.046
O5 O 0.261 0.183 0.046
O6 O 0.261 0.317 0.454
O7 O 0.482 0.023 0.772
O8 O 0.482 0.477 0.728
O9 O 0.518 0.523 0.272
O10 O 0.518 0.977 0.228
O11 O 0.739 0.683 0.546
O12 O 0.739 0.817 0.954
O13 O 0.761 0.183 0.954
O14 O 0.761 0.317 0.546
O15 O 0.982 0.023 0.228
O16 O 0.982 0.477 0.272
```

Top 6 peaks for 15 to 90 degrees two-theta, most intense first:
17.7°, 5.023 Å, intensity 100
23.0°, 3.871 Å, intensity 45
34.5°, 2.598 Å, intensity 34
33.9°, 2.646 Å, intensity 32
43.7°, 2.073 Å, intensity 31
33.2°, 2.696 Å, intensity 29

***

# 10
Tb9Sb5O5: theoretical powder diffractogram (Cu Kα (weighted mean of Kα1 and Kα2)), based on a cell relaxed with PBE.
Neutral-atom scattering factors, no anomalous dispersion.

Structural model:
```
data_Tb9Sb5O5
_chemical_formula_sum 'Tb18 Sb10 O10'
_space_group_name_H-M_alt 'P 1'
_space_group_IT_number 1
_cell_length_a 9.877
_cell_length_b 9.877
_cell_length_c 8.881
_cell_angle_alpha 90.00
_cell_angle_beta 90.00
_cell_angle_gamma 90.00
loop_
_space_group_symop_operation_xyz
'x,y,z'
loop_
_atom_site_label
_atom_site_type_symbol
_atom_site_fract_x
_atom_site_fract_y
_atom_site_fract_z
Tb1 Tb 0.024 0.168 0.002
Tb2 Tb 0.045 0.646 0.657
Tb3 Tb 0.146 0.955 0.343
Tb4 Tb 0.168 0.476 0.002
Tb5 Tb 0.250 0.250 0.670
Tb6 Tb 0.332 0.024 0.002
Tb7 Tb 0.354 0.545 0.343
Tb8 Tb 0.455 0.854 0.657
Tb9 Tb 0.476 0.332 0.002
Tb10 Tb 0.524 0.668 0.998
Tb11 Tb 0.545 0.146 0.343
Tb12 Tb 0.646 0.455 0.657
Tb13 Tb 0.668 0.976 0.998
Tb14 Tb 0.750 0.750 0.330
Tb15 Tb 0.832 0.524 0.998
Tb16 Tb 0.854 0.045 0.657
Tb17 Tb 0.955 0.354 0.343
Tb18 Tb 0.976 0.832 0.998
Sb1 Sb 0.055 0.654 0.301
Sb2 Sb 0.154 0.945 0.699
Sb3 Sb 0.250 0.250 0.317
Sb4 Sb 0.346 0.555 0.699
Sb5 Sb 0.445 0.846 0.301
Sb6 Sb 0.555 0.154 0.699
Sb7 Sb 0.654 0.445 0.301
Sb8 Sb 0.750 0.750 0.683
Sb9 Sb 0.846 0.055 0.301
Sb10 Sb 0.945 0.346 0.699
O1 O 0.026 0.630 0.912
O2 O 0.130 0.974 0.088
O3 O 0.250 0.250 0.936
O4 O 0.370 0.526 0.088
O5 O 0.474 0.870 0.912
O6 O 0.526 0.130 0.088
O7 O 0.630 0.474 0.912
O8 O 0.750 0.750 0.064
O9 O 0.870 0.026 0.912
O10 O 0.974 0.370 0.088
```

Top 6 peaks for 15 to 90 degrees two-theta, most intense first:
30.3°, 2.946 Å, intensity 100
35.1°, 2.555 Å, intensity 92
30.2°, 2.960 Å, intensity 68
40.9°, 2.208 Å, intensity 63
51.6°, 1.770 Å, intensity 53
28.6°, 3.124 Å, intensity 44

***

# 11
Zr2SbO4: theoretical powder diffractogram (Cu Kα (weighted mean of Kα1 and Kα2)), based on a cell relaxed with PBE.
Neutral-atom scattering factors, no anomalous dispersion.

Structural model:
```
data_Zr2SbO4
_chemical_formula_sum 'Zr4 Sb2 O8'
_space_group_name_H-M_alt 'P 1'
_space_group_IT_number 1
_cell_length_a 6.744
_cell_length_b 6.744
_cell_length_c 6.744
_cell_angle_alpha 60.00
_cell_angle_beta 60.00
_cell_angle_gamma 60.00
loop_
_space_group_symop_operation_xyz
'x,y,z'
loop_
_atom_site_label
_atom_site_type_symbol
_atom_site_fract_x
_atom_site_fract_y
_atom_site_fract_z
Zr1 Zr 0.000 0.000 0.000
Zr2 Zr 0.000 0.000 0.500
Zr3 Zr 0.000 0.500 0.000
Zr4 Zr 0.500 0.000 0.000
Sb1 Sb 0.375 0.375 0.375
Sb2 Sb 0.625 0.625 0.625
O1 O 0.173 0.776 0.776
O2 O 0.224 0.224 0.224
O3 O 0.224 0.224 0.827
O4 O 0.224 0.827 0.224
O5 O 0.776 0.173 0.776
O6 O 0.776 0.776 0.173
O7 O 0.776 0.776 0.776
O8 O 0.827 0.224 0.224
```

Top 6 peaks for 15 to 90 degrees two-theta, most intense first:
31.1°, 2.875 Å, intensity 100
49.7°, 1.835 Å, intensity 44
26.4°, 3.372 Å, intensity 42
54.4°, 1.686 Å, intensity 39
76.8°, 1.242 Å, intensity 20
32.5°, 2.753 Å, intensity 16